Starting from a cell relaxed with GGA-PBE, the X-ray powder pattern of CdH6C2O6 was computed for copper Kα.

Cell lengths 9.142, 7.462, 9.964 Å; angles 90.00, 96.91, 90.00 degrees
Space group P2_1/c (No. 14)
One atom of each set of equivalent atoms:
Cd 0.000 0.000 0.000
Cd 0.500 0.000 0.500
H 0.037 0.154 0.277
H 0.178 0.023 0.626
H 0.196 0.106 0.235
H 0.268 0.619 0.465
H 0.299 0.090 0.994
H 0.444 0.727 0.734
C 0.174 0.613 0.081
C 0.457 0.205 0.217
O 0.063 0.709 0.095
O 0.094 0.138 0.199
O 0.236 0.005 0.936
O 0.283 0.662 0.019
O 0.393 0.091 0.285
O 0.411 0.245 0.095

Principal peaks in the range 2θ = 15–90°, sorted by position:
17.20 deg, I = 100; 17.94 deg, I = 48; 18.40 deg, I = 76; 19.56 deg, I = 34; 23.84 deg, I = 14; 30.00 deg, I = 25; 32.25 deg, I = 66; 34.81 deg, I = 18; 38.91 deg, I = 17; 39.79 deg, I = 17; 47.47 deg, I = 14; 52.43 deg, I = 13